For AcNd15Sm4, DFT lattice parameters and positions (GGA-PBE) gives the simulated powder XRD pattern in this record (copper Kα).
Peak positions follow from Bragg's law for the DFT cell and can differ from measured ones.

Peak list (9 most intense, 10° ≤ 2θ ≤ 90°, by angle)
d 3.011, 2θ = 29.67°, intensity 100.0, (1 1 5); d 2.607, 2θ = 34.40°, intensity 50.7, (2 0 0); d 1.844, 2θ = 49.44°, intensity 36.2, (2 2 0); d 1.572, 2θ = 58.72°, intensity 43.0, (3 1 5); d 1.505, 2θ = 61.61°, intensity 12.4, (2 2 10); d 1.304, 2θ = 72.51°, intensity 5.7, (4 0 0); d 1.197, 2θ = 80.21°, intensity 5.9, (3 3 5); d 1.196, 2θ = 80.26°, intensity 11.3, (3 1 15); d 1.166, 2θ = 82.78°, intensity 16.0, (4 2 0)

Structural model:
Cell lengths 5.217, 5.217, 26.052 Å; angles 90.00, 90.00, 90.00 degrees
Space group P4/mmm (No. 123)
Symmetry-distinct sites (fractional):
Ac 0.000 0.000 0.000 (multiplicity 1)
Nd 0.000 0.500 0.104 (multiplicity 4)
Nd 0.000 0.500 0.302 (multiplicity 4)
Nd 0.000 0.500 0.500 (multiplicity 2)
Nd 0.500 0.500 0.000 (multiplicity 1)
Nd 0.500 0.500 0.203 (multiplicity 2)
Nd 0.500 0.500 0.401 (multiplicity 2)
Sm 0.000 0.000 0.203 (multiplicity 2)
Sm 0.000 0.000 0.401 (multiplicity 2)

***

For Zr4CoCu, DFT lattice parameters and positions (GGA-PBE) gives the simulated powder XRD pattern in this record (copper Kα).
Peak positions follow from Bragg's law for the DFT cell and can differ from measured ones.

Peak list (10 most intense, 10° ≤ 2θ ≤ 90°, by angle)
d 2.659, 2θ = 33.71°, intensity 10.2, (0 0 2); d 2.561, 2θ = 35.04°, intensity 100.0, (2 1 1); d 2.306, 2θ = 39.06°, intensity 34.8, (1 1 2); d 2.064, 2θ = 43.86°, intensity 65.0, (3 1 0); d 1.519, 2θ = 61.01°, intensity 15.8, (4 1 1); d 1.515, 2θ = 61.15°, intensity 19.0, (2 1 3); d 1.392, 2θ = 67.27°, intensity 9.9, (4 0 2); d 1.333, 2θ = 70.69°, intensity 18.3, (3 3 2); d 1.183, 2θ = 81.34°, intensity 8.4, (5 2 1); d 1.118, 2θ = 87.19°, intensity 8.7, (3 1 4)

Structural model:
Cell lengths 6.534, 6.534, 5.318 Å; angles 90.00, 90.00, 90.00 degrees
Space group P4/mcc (No. 124)
Symmetry-distinct sites (fractional):
Zr 0.155 0.328 0.000 (multiplicity 8)
Co 0.000 0.000 0.250 (multiplicity 2)
Cu 0.500 0.500 0.250 (multiplicity 2)

***

For La5Hf2S12, DFT lattice parameters and positions (GGA-PBE) gives the simulated powder XRD pattern in this record (copper Kα).
Peak positions follow from Bragg's law for the DFT cell and can differ from measured ones.

Peak list (10 most intense, 10° ≤ 2θ ≤ 90°, by angle)
d 8.734, 2θ = 10.13°, intensity 34.8, (0 0 1); d 4.156, 2θ = 21.38°, intensity 100.0, (3 1 0); d 3.868, 2θ = 22.99°, intensity 99.7, (1 1 -2); d 3.351, 2θ = 26.60°, intensity 32.2, (0 2 1); d 2.794, 2θ = 32.04°, intensity 82.9, (0 2 2); d 2.535, 2θ = 35.41°, intensity 45.3, (6 0 0); d 2.286, 2θ = 39.42°, intensity 44.9, (2 0 -4); d 2.184, 2θ = 41.35°, intensity 34.4, (4 2 -3); d 2.082, 2θ = 43.46°, intensity 42.3, (6 2 -2); d 2.071, 2θ = 43.71°, intensity 30.7, (4 2 2)

Structural model:
Cell lengths 15.921, 7.257, 9.143 Å; angles 90.00, 107.20, 90.00 degrees
Space group C2/m (No. 12)
Symmetry-distinct sites (fractional):
La 0.000 0.000 0.000 (multiplicity 2)
La 0.188 0.500 0.335 (multiplicity 4)
La 0.200 0.500 0.856 (multiplicity 4)
Hf 0.000 0.251 0.500 (multiplicity 4)
S 0.001 0.000 0.312 (multiplicity 4)
S 0.003 0.500 0.700 (multiplicity 4)
S 0.150 0.250 0.071 (multiplicity 8)
S 0.166 0.257 0.584 (multiplicity 8)

***

For KTlPt2, DFT lattice parameters and positions (GGA-PBE) gives the simulated powder XRD pattern in this record (copper Kα).
Peak positions follow from Bragg's law for the DFT cell and can differ from measured ones.

Peak list (10 most intense, 10° ≤ 2θ ≤ 90°, by angle)
d 5.277, 2θ = 16.80°, intensity 11.0, (0 0 6); d 2.639, 2θ = 33.97°, intensity 39.3, (0 0 12); d 2.472, 2θ = 36.34°, intensity 100.0, (1 0 4); d 2.175, 2θ = 41.53°, intensity 68.8, (0 1 8); d 1.575, 2θ = 58.60°, intensity 24.6, (1 0 16); d 1.503, 2θ = 61.74°, intensity 21.7, (1 1 0); d 1.353, 2θ = 69.49°, intensity 14.5, (0 1 20); d 1.306, 2θ = 72.37°, intensity 26.7, (1 1 12); d 1.284, 2θ = 73.80°, intensity 12.8, (0 2 4); d 1.236, 2θ = 77.16°, intensity 11.3, (2 0 8)

Structural model:
Cell lengths 3.0052, 3.0052, 31.6645 Å; angles 90.00, 90.00, 120.00 degrees
Space group R-3m (No. 166, hexagonal axes)
Symmetry-distinct sites (fractional):
K 0.0000 0.0000 0.0000 (multiplicity 3)
Tl 0.0000 0.0000 0.5000 (multiplicity 3)
Pt 0.0000 0.0000 0.2478 (multiplicity 6)

***

For Li2TeI5, DFT lattice parameters and positions (GGA-PBE) gives the simulated powder XRD pattern in this record (copper Kα).
Peak positions follow from Bragg's law for the DFT cell and can differ from measured ones.

Peak list (10 most intense, 10° ≤ 2θ ≤ 90°, by angle)
d 5.505, 2θ = 16.10°, intensity 70.1, (2 0 -1); d 5.012, 2θ = 17.69°, intensity 37.2, (2 0 0); d 4.792, 2θ = 18.52°, intensity 43.0, (0 2 0); d 3.659, 2θ = 24.32°, intensity 93.6, (3 1 -1); d 3.355, 2θ = 26.57°, intensity 100.0, (2 0 -2); d 3.155, 2θ = 28.28°, intensity 37.3, (3 1 0); d 3.044, 2θ = 29.34°, intensity 47.8, (1 3 0); d 2.884, 2θ = 31.00°, intensity 57.0, (1 3 -1); d 2.309, 2θ = 39.01°, intensity 56.9, (3 3 0); d 1.918, 2θ = 47.39°, intensity 39.0, (1 3 2)

Structural model:
Cell lengths 11.921, 9.584, 6.713 Å; angles 90.00, 122.76, 90.00 degrees
Space group Cm (No. 8)
Symmetry-distinct sites (fractional):
Li 0.000 0.199 0.000 (multiplicity 4)
Te 0.226 0.000 0.587 (multiplicity 2)
I 0.020 0.500 0.915 (multiplicity 2)
I 0.200 0.000 0.061 (multiplicity 2)
I 0.234 0.308 0.588 (multiplicity 4)
I 0.432 0.500 0.251 (multiplicity 2)

***

For PmH6F12, DFT lattice parameters and positions (GGA-PBE) gives the simulated powder XRD pattern in this record (copper Kα).
Peak positions follow from Bragg's law for the DFT cell and can differ from measured ones.

Peak list (10 most intense, 10° ≤ 2θ ≤ 90°, by angle)
d 6.478, 2θ = 13.67°, intensity 97.9, (0 0 1); d 5.875, 2θ = 15.08°, intensity 64.6, (0 1 0); d 5.610, 2θ = 15.80°, intensity 100.0, (1 0 0); d 5.059, 2θ = 17.53°, intensity 34.9, (1 0 1); d 4.934, 2θ = 17.98°, intensity 73.7, (0 1 1); d 4.492, 2θ = 19.76°, intensity 37.0, (1 1 1); d 3.400, 2θ = 26.21°, intensity 37.1, (1 -1 1); d 3.239, 2θ = 27.54°, intensity 36.8, (0 0 2); d 2.730, 2θ = 32.80°, intensity 32.7, (1 2 0); d 2.409, 2θ = 37.33°, intensity 36.5, (-1 1 2)

Structural model:
Cell lengths 5.993, 6.141, 7.055 Å; angles 74.30, 70.38, 78.94 degrees
Space group P-1 (No. 2)
Symmetry-distinct sites (fractional):
Pm 0.000 0.000 0.000 (multiplicity 1)
H 0.233 0.883 0.554 (multiplicity 2)
H 0.255 0.634 0.409 (multiplicity 2)
H 0.468 0.223 0.046 (multiplicity 2)
F 0.104 0.371 0.823 (multiplicity 2)
F 0.124 0.489 0.371 (multiplicity 2)
F 0.156 0.999 0.642 (multiplicity 2)
F 0.262 0.182 0.068 (multiplicity 2)
F 0.352 0.740 0.425 (multiplicity 2)
F 0.357 0.752 0.967 (multiplicity 2)

***

For SrCa2YHg, DFT lattice parameters and positions (GGA-PBE) gives the simulated powder XRD pattern in this record (copper Kα).
Peak positions follow from Bragg's law for the DFT cell and can differ from measured ones.

Peak list (10 most intense, 10° ≤ 2θ ≤ 90°, by angle)
d 5.961, 2θ = 14.86°, intensity 97.9, (1 0 0); d 4.215, 2θ = 21.08°, intensity 93.2, (1 1 0); d 4.171, 2θ = 21.30°, intensity 80.8, (1 0 1); d 2.980, 2θ = 29.98°, intensity 100.0, (2 0 0); d 2.919, 2θ = 30.63°, intensity 47.3, (0 0 2); d 2.425, 2θ = 37.07°, intensity 41.5, (2 1 1); d 2.400, 2θ = 37.48°, intensity 44.5, (1 1 2); d 2.108, 2θ = 42.91°, intensity 37.1, (2 2 0); d 2.085, 2θ = 43.39°, intensity 71.8, (2 0 2); d 1.709, 2θ = 53.64°, intensity 38.0, (2 2 2)

Structural model:
Cell lengths 5.961, 5.961, 5.838 Å; angles 90.00, 90.00, 90.00 degrees
Space group P4/mmm (No. 123)
Symmetry-distinct sites (fractional):
Sr 0.000 0.000 0.000 (multiplicity 1)
Ca 0.000 0.500 0.500 (multiplicity 2)
Y 0.500 0.500 0.000 (multiplicity 1)
Hg 0.500 0.500 0.500 (multiplicity 1)

***

For ZnPbI2O8, DFT lattice parameters and positions (GGA-PBE) gives the simulated powder XRD pattern in this record (copper Kα).
Peak positions follow from Bragg's law for the DFT cell and can differ from measured ones.

Peak list (10 most intense, 10° ≤ 2θ ≤ 90°, by angle)
d 4.473, 2θ = 19.85°, intensity 12.1, (1 0 1); d 3.542, 2θ = 25.14°, intensity 100.0, (1 0 4); d 3.202, 2θ = 27.86°, intensity 13.3, (0 1 5); d 2.635, 2θ = 34.02°, intensity 49.4, (1 1 0); d 2.392, 2θ = 37.61°, intensity 25.2, (0 1 8); d 2.114, 2θ = 42.77°, intensity 26.6, (0 2 4); d 1.771, 2θ = 51.61°, intensity 11.4, (2 0 8); d 1.649, 2θ = 55.74°, intensity 22.9, (2 1 4); d 1.521, 2θ = 60.89°, intensity 13.6, (3 0 0); d 1.470, 2θ = 63.27°, intensity 11.9, (1 2 8)

Structural model:
Cell lengths 5.2701, 5.2701, 22.4660 Å; angles 90.00, 90.00, 120.00 degrees
Space group R32 (No. 155, hexagonal axes)
Symmetry-distinct sites (fractional):
Zn 0.0000 0.0000 0.0000 (multiplicity 3)
Pb 0.0000 0.0000 0.5000 (multiplicity 3)
I 0.0000 0.0000 0.2643 (multiplicity 6)
O 0.0000 0.0000 0.1835 (multiplicity 6)
O 0.0121 0.3674 0.7296 (multiplicity 18)

***

For Li2SmCl5, DFT lattice parameters and positions (GGA-PBE) gives the simulated powder XRD pattern in this record (copper Kα).
Peak positions follow from Bragg's law for the DFT cell and can differ from measured ones.

Peak list (10 most intense, 10° ≤ 2θ ≤ 90°, by angle)
d 5.933, 2θ = 14.93°, intensity 100.0, (2 0 0); d 4.555, 2θ = 19.49°, intensity 26.4, (2 0 -2); d 3.996, 2θ = 22.24°, intensity 29.2, (1 1 -2); d 3.421, 2θ = 26.05°, intensity 16.9, (3 1 0); d 3.327, 2θ = 26.79°, intensity 15.2, (3 1 -2); d 3.007, 2θ = 29.71°, intensity 16.0, (2 2 -1); d 2.300, 2θ = 39.16°, intensity 15.9, (4 2 -2); d 2.275, 2θ = 39.62°, intensity 20.4, (3 1 -4); d 2.237, 2θ = 40.32°, intensity 15.8, (5 1 0); d 1.957, 2θ = 46.39°, intensity 18.7, (1 3 2)

Structural model:
Cell lengths 12.864, 6.882, 9.819 Å; angles 90.00, 113.17, 90.00 degrees
Space group C2/c (No. 15)
Symmetry-distinct sites (fractional):
Li 0.125 0.031 0.188 (multiplicity 8)
Sm 0.000 0.500 0.000 (multiplicity 4)
Cl 0.000 0.318 0.750 (multiplicity 4)
Cl 0.082 0.159 0.446 (multiplicity 8)
Cl 0.204 0.345 0.159 (multiplicity 8)

***

For AcSiOsF, DFT lattice parameters and positions (GGA-PBE) gives the simulated powder XRD pattern in this record (copper Kα).
Peak positions follow from Bragg's law for the DFT cell and can differ from measured ones.

Peak list (10 most intense, 10° ≤ 2θ ≤ 90°, by angle)
d 8.444, 2θ = 10.48°, intensity 39.5, (0 0 1); d 3.816, 2θ = 23.31°, intensity 75.5, (1 0 1); d 3.005, 2θ = 29.73°, intensity 39.2, (1 0 2); d 2.847, 2θ = 31.42°, intensity 55.0, (1 1 1); d 2.815, 2θ = 31.79°, intensity 30.2, (0 0 3); d 2.459, 2θ = 36.55°, intensity 100.0, (1 1 2); d 2.139, 2θ = 42.26°, intensity 50.1, (2 0 0); d 1.703, 2θ = 53.84°, intensity 28.9, (2 0 3); d 1.474, 2θ = 63.05°, intensity 24.0, (1 1 5); d 1.288, 2θ = 73.52°, intensity 26.2, (3 1 2)

Structural model:
Cell lengths 4.277, 4.277, 8.444 Å; angles 90.00, 90.00, 90.00 degrees
Space group P4/nmm (No. 129, origin choice 2)
Symmetry-distinct sites (fractional):
Ac 0.250 0.250 0.191 (multiplicity 2)
Si 0.250 0.250 0.632 (multiplicity 2)
Os 0.250 0.750 0.500 (multiplicity 2)
F 0.250 0.750 0.000 (multiplicity 2)

***

For TbNd4Er2Sc, DFT lattice parameters and positions (GGA-PBE) gives the simulated powder XRD pattern in this record (copper Kα).
Peak positions follow from Bragg's law for the DFT cell and can differ from measured ones.

Peak list (10 most intense, 10° ≤ 2θ ≤ 90°, by angle)
d 2.913, 2θ = 30.70°, intensity 100.0, (1 1 2); d 2.553, 2θ = 35.15°, intensity 17.5, (0 2 0); d 2.544, 2θ = 35.28°, intensity 17.3, (2 0 0); d 2.472, 2θ = 36.34°, intensity 16.0, (0 0 4); d 1.802, 2θ = 50.66°, intensity 12.4, (2 2 0); d 1.775, 2θ = 51.50°, intensity 23.3, (2 0 4); d 1.535, 2θ = 60.32°, intensity 14.6, (1 3 2); d 1.530, 2θ = 60.49°, intensity 14.4, (3 1 2); d 1.499, 2θ = 61.90°, intensity 13.2, (1 1 6); d 1.456, 2θ = 63.93°, intensity 12.1, (2 2 4)

Structural model:
Cell lengths 5.088, 5.106, 9.890 Å; angles 90.00, 90.00, 90.00 degrees
Space group Pmmm (No. 47)
Symmetry-distinct sites (fractional):
Tb 0.000 0.000 0.000 (multiplicity 1)
Nd 0.000 0.500 0.256 (multiplicity 2)
Nd 0.500 0.000 0.256 (multiplicity 2)
Er 0.000 0.000 0.500 (multiplicity 1)
Er 0.500 0.500 0.000 (multiplicity 1)
Sc 0.500 0.500 0.500 (multiplicity 1)

***

For CrAs, DFT lattice parameters and positions (GGA-PBE) gives the simulated powder XRD pattern in this record (copper Kα).
Peak positions follow from Bragg's law for the DFT cell and can differ from measured ones.

Peak list (10 most intense, 10° ≤ 2θ ≤ 90°, by angle)
d 2.588, 2θ = 34.65°, intensity 39.8, (1 1 1); d 2.259, 2θ = 39.91°, intensity 100.0, (1 1 -2); d 2.253, 2θ = 40.01°, intensity 16.5, (2 0 2); d 2.171, 2θ = 41.61°, intensity 38.2, (4 0 -1); d 2.117, 2θ = 42.71°, intensity 18.8, (3 1 -1); d 2.096, 2θ = 43.16°, intensity 79.5, (0 0 3); d 1.925, 2θ = 47.22°, intensity 18.4, (3 1 -2); d 1.884, 2θ = 48.31°, intensity 39.5, (3 1 1); d 1.581, 2θ = 58.37°, intensity 23.0, (0 2 0); d 1.155, 2θ = 83.72°, intensity 19.3, (7 1 -1)

Structural model:
Cell lengths 8.710, 3.162, 6.502 Å; angles 90.00, 104.96, 90.00 degrees
Space group Cm (No. 8)
Symmetry-distinct sites (fractional):
Cr 0.000 0.000 0.000 (multiplicity 2)
Cr 0.070 0.000 0.607 (multiplicity 2)
Cr 0.298 0.000 0.303 (multiplicity 2)
As 0.084 0.500 0.316 (multiplicity 2)
As 0.201 0.500 0.936 (multiplicity 2)
As 0.372 0.000 0.698 (multiplicity 2)